Calculated powder diffraction line list of ErTm2IrO8 for Cu Kα, 1.54184 Å, from a PBE-relaxed structure.

Structure:
a = 7.005 Å, b = 7.084 Å, c = 6.689 Å
α = 90.00°, β = 90.00°, γ = 90.00°
Space group Cmmm (No. 65)
Asymmetric unit:
Er 0.000 0.000 0.000 (multiplicity 2)
Tm 0.000 0.500 0.247 (multiplicity 4)
Ir 0.000 0.000 0.500 (multiplicity 2)
O 0.000 0.185 0.287 (multiplicity 8)
O 0.192 0.500 0.000 (multiplicity 4)
O 0.227 0.500 0.500 (multiplicity 4)

Top 8 peaks for 2θ from 10° to 80°, sorted by position:
hkl 0 2 0, d 3.542, 2θ 25.14, I = 56.8
hkl 2 0 0, d 3.502, 2θ 25.43, I = 53.4
hkl 1 1 2, d 2.777, 2θ 32.24, I = 100.0
hkl 2 2 0, d 2.490, 2θ 36.07, I = 30.5
hkl 1 3 2, d 1.860, 2θ 48.98, I = 39.2
hkl 3 1 2, d 1.848, 2θ 49.31, I = 36.7
hkl 3 3 2, d 1.487, 2θ 62.45, I = 21.3
hkl 2 2 4, d 1.388, 2θ 67.46, I = 11.4


Calculated powder diffraction line list of YEr2IrO8 for Cu Kα, 1.54184 Å, from a PBE-relaxed structure.

Structure:
a = 7.050 Å, b = 7.116 Å, c = 6.753 Å
α = 90.00°, β = 90.00°, γ = 90.00°
Space group Cmmm (No. 65)
Asymmetric unit:
Y 0.000 0.000 0.000 (multiplicity 2)
Er 0.000 0.500 0.248 (multiplicity 4)
Ir 0.000 0.000 0.500 (multiplicity 2)
O 0.000 0.185 0.290 (multiplicity 8)
O 0.191 0.500 0.000 (multiplicity 4)
O 0.229 0.500 0.500 (multiplicity 4)

Top 8 peaks for 2θ from 10° to 80°, sorted by position:
hkl 0 2 0, d 3.558, 2θ 25.03, I = 57.7
hkl 2 0 0, d 3.525, 2θ 25.26, I = 54.3
hkl 1 1 2, d 2.800, 2θ 31.97, I = 100.0
hkl 2 2 0, d 2.504, 2θ 35.86, I = 29.3
hkl 1 3 2, d 1.871, 2θ 48.65, I = 39.8
hkl 3 1 2, d 1.862, 2θ 48.92, I = 37.2
hkl 3 3 2, d 1.497, 2θ 62.01, I = 21.9
hkl 2 2 4, d 1.400, 2θ 66.83, I = 11.2


Calculated powder diffraction line list of Er8Ir2Os for Cu Kα, 1.54184 Å, from a PBE-relaxed structure.

Structure:
a = 8.333 Å, b = 12.451 Å, c = 5.774 Å
α = 90.00°, β = 108.55°, γ = 90.00°
Space group Cm (No. 8)
Asymmetric unit:
Er 0.000 0.000 0.000 (multiplicity 2)
Er 0.062 0.372 0.770 (multiplicity 4)
Er 0.158 0.128 0.582 (multiplicity 4)
Er 0.215 0.500 0.369 (multiplicity 2)
Er 0.356 0.216 0.185 (multiplicity 4)
Ir 0.363 0.313 0.686 (multiplicity 4)
Os 0.356 0.000 0.329 (multiplicity 2)

Top 8 peaks for 2θ from 10° to 80°, sorted by position:
hkl 1 3 1, d 2.861, 2θ 31.26, I = 78.7
hkl 2 0 1, d 2.809, 2θ 31.86, I = 88.7
hkl 0 4 1, d 2.706, 2θ 33.11, I = 86.8
hkl 3 1 -1, d 2.674, 2θ 33.52, I = 86.7
hkl 0 2 2, d 2.506, 2θ 35.84, I = 50.3
hkl 2 4 0, d 2.445, 2θ 36.76, I = 47.6
hkl 1 5 -1, d 2.259, 2θ 39.90, I = 100.0
hkl 3 3 0, d 2.223, 2θ 40.57, I = 50.0


Calculated powder diffraction line list of Er5P12Ir19 for Cu Kα, 1.54184 Å, from a PBE-relaxed structure.

Structure:
a = 12.6947 Å, b = 12.6947 Å, c = 3.9712 Å
α = 90.00°, β = 90.00°, γ = 120.00°
Space group P-62m (No. 189)
Asymmetric unit:
Er 0.0000 0.1828 0.0000 (multiplicity 3)
Er 0.3333 0.6667 0.5000 (multiplicity 2)
P 0.0000 0.3553 0.5000 (multiplicity 3)
P 0.0000 0.8221 0.5000 (multiplicity 3)
P 0.1709 0.6873 0.0000 (multiplicity 6)
Ir 0.0000 0.0000 0.5000 (multiplicity 1)
Ir 0.0000 0.5353 0.5000 (multiplicity 3)
Ir 0.0000 0.7140 0.0000 (multiplicity 3)
Ir 0.1341 0.4935 0.0000 (multiplicity 6)
Ir 0.1804 0.8063 0.5000 (multiplicity 6)

Top 8 peaks for 2θ from 10° to 80°, sorted by position:
hkl 2 2 0, d 3.174, 2θ 28.12, I = 20.3
hkl 2 1 1, d 2.871, 2θ 31.15, I = 9.5
hkl 2 2 1, d 2.479, 2θ 36.23, I = 100.0
hkl 3 1 1, d 2.418, 2θ 37.18, I = 13.8
hkl 0 0 2, d 1.986, 2θ 45.69, I = 18.9
hkl 6 0 0, d 1.832, 2θ 49.76, I = 16.2
hkl 6 0 2, d 1.347, 2θ 69.85, I = 11.8
hkl 2 2 3, d 1.222, 2θ 78.25, I = 11.0


Calculated powder diffraction line list of Er5PaIr4 for Cu Kα, 1.54184 Å, from a PBE-relaxed structure.

Structure:
a = 4.102 Å, b = 7.477 Å, c = 16.434 Å
α = 90.00°, β = 90.00°, γ = 90.00°
Space group Immm (No. 71)
Asymmetric unit:
Er 0.000 0.000 0.000 (multiplicity 2)
Er 0.000 0.243 0.333 (multiplicity 8)
Pa 0.000 0.500 0.000 (multiplicity 2)
Ir 0.000 0.246 0.500 (multiplicity 4)
Ir 0.000 0.500 0.195 (multiplicity 4)

Top 8 peaks for 2θ from 10° to 80°, sorted by position:
hkl 0 0 6, d 2.739, 2θ 32.70, I = 44.0
hkl 1 2 1, d 2.725, 2θ 32.87, I = 100.0
hkl 1 2 5, d 2.115, 2θ 42.75, I = 70.8
hkl 2 0 0, d 2.051, 2θ 44.16, I = 24.3
hkl 0 4 0, d 1.869, 2θ 48.71, I = 18.1
hkl 2 0 6, d 1.642, 2θ 56.01, I = 21.8
hkl 0 4 6, d 1.544, 2θ 59.91, I = 15.6
hkl 2 4 6, d 1.234, 2θ 77.35, I = 16.9


Calculated powder diffraction line list of Er4Ir2Pd for Cu Kα, 1.54184 Å, from a PBE-relaxed structure.

Structure:
a = 4.8084 Å, b = 4.8084 Å, c = 23.4589 Å
α = 90.00°, β = 90.00°, γ = 120.00°
Space group R-3m (No. 166, hexagonal axes)
Asymmetric unit:
Er 0.0000 0.0000 0.1226 (multiplicity 6)
Er 0.0000 0.0000 0.3731 (multiplicity 6)
Ir 0.0000 0.0000 0.2496 (multiplicity 6)
Pd 0.0000 0.0000 0.5000 (multiplicity 3)

Top 8 peaks for 2θ from 10° to 80°, sorted by position:
hkl 0 0 6, d 3.920, 2θ 22.68, I = 25.9
hkl 1 1 0, d 2.404, 2θ 37.41, I = 100.0
hkl 0 1 8, d 2.398, 2θ 37.51, I = 98.5
hkl 1 1 6, d 2.049, 2θ 44.21, I = 10.8
hkl 2 0 8, d 1.698, 2θ 54.01, I = 34.7
hkl 3 0 0, d 1.387, 2θ 67.52, I = 53.4
hkl 1 0 16, d 1.383, 2θ 67.76, I = 17.2
hkl 2 2 0, d 1.202, 2θ 79.78, I = 11.3